1.
This entry pairs a crystal structure of LiV3F10 with its theoretical powder diffraction line list. Radiation: Cu Kα (λ = 1.5418 Å). Structure: a cell relaxed with GGA+U.

Most intense lines, 2θ from 10° to 80°, by angle:
2θ (°), Rel. int., h k l
11.87, 31, 0 1 0
13.49, 50, 0 0 1
18.00, 62, 0 1 1
22.56, 100, 2 0 0
27.17, 24, 0 0 2
27.51, 56, 0 2 1
45.80, 26, 0 3 2
46.05, 26, 4 0 0
48.22, 33, 0 2 3
48.85, 18, 0 4 0
53.86, 21, 2 2 3
54.47, 26, 4 2 1

Atomic structure:
a b c (Å): 7.884 7.458 6.564
angles (deg): 90.00 90.00 90.00
Space group Pmma (No. 51)
Symmetry-distinct sites (fractional):
Li 0.250 0.000 0.183 (multiplicity 2)
V 0.000 0.235 0.500 (multiplicity 4)
V 0.000 0.500 0.000 (multiplicity 2)
F 0.000 0.500 0.500 (multiplicity 2)
F 0.029 0.301 0.199 (multiplicity 8)
F 0.050 0.000 0.334 (multiplicity 4)
F 0.250 0.231 0.548 (multiplicity 4)
F 0.250 0.500 0.961 (multiplicity 2)

=====

2.
This entry pairs a crystal structure of Li3VF6 with its theoretical powder diffraction line list. Radiation: Cu Kα (λ = 1.5418 Å). Structure: a cell relaxed with GGA+U.

Most intense lines, 2θ from 10° to 80°, by angle:
2θ (°), Rel. int., h k l
19.87, 100, 1 1 1
20.31, 24, 4 0 0
21.11, 39, 2 0 -2
21.71, 30, 2 0 2
24.31, 62, 3 1 -1
32.29, 31, 5 1 1
38.19, 41, 0 0 4
39.58, 40, 4 2 0
40.72, 26, 7 1 -1
49.81, 25, 6 2 -2
50.66, 15, 6 2 2
56.70, 18, 4 2 4

Atomic structure:
a b c (Å): 17.502 5.335 9.432
angles (deg): 90.00 91.90 90.00
Space group C2/c (No. 15)
Symmetry-distinct sites (fractional):
Li 0.080 0.219 0.450 (multiplicity 8)
Li 0.109 0.287 0.101 (multiplicity 8)
Li 0.177 0.216 0.820 (multiplicity 8)
V 0.000 0.204 0.750 (multiplicity 4)
V 0.250 0.250 0.500 (multiplicity 4)
F 0.018 0.234 0.962 (multiplicity 8)
F 0.076 0.075 0.260 (multiplicity 8)
F 0.088 0.411 0.714 (multiplicity 8)
F 0.164 0.487 0.460 (multiplicity 8)
F 0.165 0.011 0.015 (multiplicity 8)
F 0.249 0.141 0.305 (multiplicity 8)

=====

3.
This entry pairs a crystal structure of Li2VF4 with its theoretical powder diffraction line list. Radiation: Cu Kα (λ = 1.5418 Å). Structure: a cell relaxed with GGA+U.

Most intense lines, 2θ from 10° to 80°, by angle:
2θ (°), Rel. int., h k l
18.06, 100, 1 0 1
20.80, 27, 0 0 2
29.76, 14, 2 0 0
33.88, 40, 1 2 1
34.87, 20, 1 0 3
41.62, 64, 2 2 0
42.32, 31, 0 0 4
45.58, 10, 1 2 3
46.97, 12, 2 2 2
55.50, 13, 3 2 1
58.82, 11, 0 4 0
60.86, 39, 2 2 4

Atomic structure:
a b c (Å): 6.004 6.280 8.543
angles (deg): 90.00 90.00 90.00
Space group Imma (No. 74)
Symmetry-distinct sites (fractional):
Li 0.000 0.250 0.134 (multiplicity 4)
Li 0.250 0.250 0.750 (multiplicity 4)
V 0.000 0.000 0.500 (multiplicity 4)
F 0.000 0.018 0.745 (multiplicity 8)
F 0.238 0.250 0.503 (multiplicity 8)

=====

4.
This entry pairs a crystal structure of Li3VF6 with its theoretical powder diffraction line list. Radiation: Cu Kα (λ = 1.5418 Å). Structure: a cell relaxed with GGA+U.

Most intense lines, 2θ from 10° to 80°, by angle:
2θ (°), Rel. int., h k l
17.70, 45, 0 0 2
18.46, 45, 2 0 0
18.78, 12, 1 1 0
20.30, 100, 1 1 -1
21.26, 32, 1 1 1
27.23, 34, 2 0 2
35.47, 11, 3 1 -2
38.63, 15, 2 2 -1
40.17, 22, 3 1 -3
41.27, 12, 2 2 -2
42.68, 13, 2 0 4
44.74, 12, 3 1 3

Atomic structure:
a b c (Å): 9.683 5.426 10.094
angles (deg): 90.00 96.96 90.00
Space group Cc (No. 9)
Symmetry-distinct sites (fractional):
Li 0.000 0.124 0.000 (multiplicity 4)
Li 0.196 0.284 0.603 (multiplicity 4)
Li 0.405 0.181 0.231 (multiplicity 4)
V 0.251 0.298 0.903 (multiplicity 4)
F 0.101 0.314 0.756 (multiplicity 4)
F 0.108 0.439 0.006 (multiplicity 4)
F 0.180 0.014 0.483 (multiplicity 4)
F 0.344 0.386 0.359 (multiplicity 4)
F 0.345 0.140 0.763 (multiplicity 4)
F 0.384 0.358 0.066 (multiplicity 4)

=====

5.
This entry pairs a crystal structure of Li4VF7 with its theoretical powder diffraction line list. Radiation: Cu Kα (λ = 1.5418 Å). Structure: a cell relaxed with GGA+U.

Most intense lines, 2θ from 10° to 80°, by angle:
2θ (°), Rel. int., h k l
18.15, 100, 1 1 1
20.99, 73, 2 0 0
29.86, 11, 2 2 0
35.16, 45, 3 1 1
36.78, 33, 2 2 2
42.73, 53, 4 0 0
46.78, 8, 3 3 1
48.07, 25, 4 2 0
56.49, 22, 5 1 1
62.02, 43, 4 4 0
65.21, 13, 5 3 1
66.25, 10, 6 0 0

Atomic structure:
a b c (Å): 8.465 8.465 8.465
angles (deg): 90.00 90.00 90.00
Space group F-43m (No. 216)
Symmetry-distinct sites (fractional):
Li 0.124 0.124 0.376 (multiplicity 16)
V 0.250 0.250 0.750 (multiplicity 4)
F 0.000 0.000 0.500 (multiplicity 4)
F 0.014 0.250 0.750 (multiplicity 24)

=====

6.
This entry pairs a crystal structure of Li2VF4 with its theoretical powder diffraction line list. Radiation: Cu Kα (λ = 1.5418 Å). Structure: a cell relaxed with GGA+U.

Most intense lines, 2θ from 10° to 80°, by angle:
2θ (°), Rel. int., h k l
12.27, 100, 1 1 0
17.17, 26, 0 2 1
21.16, 73, 3 -1 1
27.11, 19, 1 2 2
31.81, 14, 1 1 3
32.38, 27, 3 1 2
36.47, 18, 0 3 3
37.39, 24, 3 3 0
38.62, 17, 2 2 3
44.53, 22, 5 -1 3
45.26, 22, 4 3 1
53.22, 40, 6 0 3

Atomic structure:
a b c (Å): 14.4305 14.4305 9.1662
angles (deg): 90.00 90.00 120.00
Space group R-3 (No. 148, hexagonal axes)
Symmetry-distinct sites (fractional):
Li 0.0492 0.8396 0.4196 (multiplicity 18)
Li 0.0520 0.8160 0.1015 (multiplicity 18)
V 0.0499 0.7834 0.7406 (multiplicity 18)
F 0.0065 0.3204 0.4536 (multiplicity 18)
F 0.0878 0.5318 0.5922 (multiplicity 18)
F 0.0930 0.2046 0.5936 (multiplicity 18)
F 0.0944 0.2188 0.2511 (multiplicity 18)